No. 1
This entry pairs a crystal structure of MgFe12O12F12 with its theoretical powder diffraction line list. Radiation: a wavelength of 1.5418 Å. Structure: DFT lattice parameters and positions (PBE+U).

Structural model:
```
data_MgFe12O12F12
_chemical_formula_sum 'Mg1 Fe12 O12 F12'
_cell_length_a 3.076
_cell_length_b 9.637
_cell_length_c 14.644
_cell_angle_alpha 91.45
_cell_angle_beta 90.07
_cell_angle_gamma 90.40
_symmetry_space_group_name_H-M 'P 1'
_symmetry_Int_Tables_number 1
_symmetry_space_group_name_Hall 'P 1'
loop_
_atom_site_label
_atom_site_type_symbol
_atom_site_fract_x
_atom_site_fract_y
_atom_site_fract_z
_atom_site_occupancy
Mg1 Mg 0.000 0.000 0.000 1
Fe1 Fe 0.014 0.262 0.358 1
Fe2 Fe 0.014 0.276 0.003 1
Fe3 Fe 0.016 0.763 0.674 1
Fe4 Fe 0.017 0.254 0.665 1
Fe5 Fe 0.018 0.738 0.346 1
Fe6 Fe 0.047 0.713 0.020 1
Fe7 Fe 0.503 0.010 0.172 1
Fe8 Fe 0.509 0.051 0.825 1
Fe9 Fe 0.513 0.034 0.503 1
Fe10 Fe 0.517 0.516 0.495 1
Fe11 Fe 0.521 0.520 0.184 1
Fe12 Fe 0.531 0.504 0.853 1
O1 O 0.005 0.102 0.120 1
O2 O 0.011 0.134 0.770 1
O3 O 0.014 0.104 0.438 1
O4 O 0.019 0.616 0.450 1
O5 O 0.023 0.601 0.124 1
O6 O 0.029 0.406 0.898 1
O7 O 0.497 0.872 0.058 1
O8 O 0.508 0.125 0.950 1
O9 O 0.515 0.171 0.604 1
O10 O 0.516 0.359 0.409 1
O11 O 0.517 0.658 0.285 1
O12 O 0.543 0.651 0.949 1
F1 F 0.010 0.908 0.244 1
F2 F 0.010 0.914 0.878 1
F3 F 0.012 0.916 0.565 1
F4 F 0.018 0.404 0.247 1
F5 F 0.018 0.420 0.571 1
F6 F 0.028 0.610 0.780 1
F7 F 0.511 0.880 0.730 1
F8 F 0.512 0.161 0.280 1
F9 F 0.516 0.363 0.088 1
F10 F 0.516 0.859 0.406 1
F11 F 0.520 0.652 0.611 1
F12 F 0.521 0.375 0.727 1
```

Principal peaks in the range 2θ from 10° to 90°, low angle first:
25.7°, intensity 994, (0 2 -3); 26.3°, intensity 1000, (0 2 3); 34.5°, intensity 843, (1 0 -3); 34.7°, intensity 284, (1 2 0); 51.2°, intensity 283, (1 -4 3); 51.9°, intensity 303, (-1 4 3)

No. 2
This entry pairs a crystal structure of MgFe6O6F6 with its theoretical powder diffraction line list. Radiation: a wavelength of 1.5418 Å. Structure: DFT lattice parameters and positions (PBE+U).

Structural model:
```
data_MgFe6O6F6
_chemical_formula_sum 'Mg1 Fe6 O6 F6'
_cell_length_a 5.146
_cell_length_b 3.041
_cell_length_c 14.603
_cell_angle_alpha 90.00
_cell_angle_beta 90.97
_cell_angle_gamma 90.00
_symmetry_space_group_name_H-M 'P 1 m 1'
_symmetry_Int_Tables_number 6
_symmetry_space_group_name_Hall 'P -2y'
loop_
_atom_site_label
_atom_site_type_symbol
_atom_site_fract_x
_atom_site_fract_y
_atom_site_fract_z
_atom_site_occupancy
Mg1 Mg 0.000 0.000 0.000 1
Fe1 Fe 0.274 0.000 0.655 1
Fe2 Fe 0.400 0.000 0.337 1
Fe3 Fe 0.524 0.000 0.012 1
Fe4 Fe 0.832 0.500 0.499 1
Fe5 Fe 0.838 0.500 0.807 1
Fe6 Fe 0.939 0.500 0.190 1
O1 O 0.032 0.000 0.755 1
O2 O 0.137 0.500 0.591 1
O3 O 0.213 0.500 0.284 1
O4 O 0.563 0.500 0.412 1
O5 O 0.742 0.000 0.892 1
O6 O 0.780 0.500 0.059 1
F1 F 0.023 0.000 0.442 1
F2 F 0.233 0.500 0.950 1
F3 F 0.234 0.000 0.107 1
F4 F 0.513 0.500 0.725 1
F5 F 0.654 0.000 0.574 1
F6 F 0.692 0.000 0.243 1
```

Principal peaks in the range 2θ from 10° to 90°, low angle first:
25.0°, intensity 1000, (1 0 -3); 25.4°, intensity 706, (1 0 3); 34.3°, intensity 446, (1 1 0); 34.8°, intensity 689, (0 1 3); 51.0°, intensity 274, (1 1 -6); 53.2°, intensity 273, (2 1 4)

No. 3
This entry pairs a crystal structure of MgFe6O6F6 with its theoretical powder diffraction line list. Radiation: a wavelength of 1.5418 Å. Structure: DFT lattice parameters and positions (PBE+U).

Structural model:
```
data_MgFe6O6F6
_chemical_formula_sum 'Mg1 Fe6 O6 F6'
_cell_length_a 3.109
_cell_length_b 5.143
_cell_length_c 14.297
_cell_angle_alpha 92.58
_cell_angle_beta 90.12
_cell_angle_gamma 90.08
_symmetry_space_group_name_H-M 'P 1'
_symmetry_Int_Tables_number 1
_symmetry_space_group_name_Hall 'P 1'
loop_
_atom_site_label
_atom_site_type_symbol
_atom_site_fract_x
_atom_site_fract_y
_atom_site_fract_z
_atom_site_occupancy
Mg1 Mg 0.000 0.000 0.000 1
Fe1 Fe 0.002 0.500 0.944 1
Fe2 Fe 0.490 0.868 0.197 1
Fe3 Fe 0.494 0.899 0.491 1
Fe4 Fe 0.500 0.977 0.812 1
Fe5 Fe 0.993 0.306 0.331 1
Fe6 Fe 0.996 0.405 0.618 1
O1 O 0.001 0.168 0.870 1
O2 O 0.494 0.159 0.392 1
O3 O 0.496 0.590 0.579 1
O4 O 0.502 0.763 0.925 1
O5 O 0.991 0.086 0.219 1
O6 O 0.995 0.070 0.554 1
F1 F 0.000 0.767 0.751 1
F2 F 0.005 0.706 0.083 1
F3 F 0.494 0.528 0.268 1
F4 F 0.499 0.252 0.711 1
F5 F 0.501 0.235 0.030 1
F6 F 0.994 0.680 0.420 1
```

Principal peaks in the range 2θ from 10° to 90°, low angle first:
24.9°, intensity 677, (0 1 -3); 26.1°, intensity 1000, (0 1 3); 29.8°, intensity 420, (0 1 -4); 33.7°, intensity 535, (1 -1 0); 34.5°, intensity 550, (1 0 3); 52.0°, intensity 367, (1 2 -4)

No. 4
This entry pairs a crystal structure of MgFe10O9F11 with its theoretical powder diffraction line list. Radiation: a wavelength of 1.5418 Å. Structure: DFT lattice parameters and positions (PBE+U).

Structural model:
```
data_MgFe10O9F11
_chemical_formula_sum 'Mg1 Fe10 O9 F11'
_cell_length_a 4.852
_cell_length_b 4.937
_cell_length_c 15.554
_cell_angle_alpha 89.59
_cell_angle_beta 89.62
_cell_angle_gamma 84.02
_symmetry_space_group_name_H-M 'P 1'
_symmetry_Int_Tables_number 1
_symmetry_space_group_name_Hall 'P 1'
loop_
_atom_site_label
_atom_site_type_symbol
_atom_site_fract_x
_atom_site_fract_y
_atom_site_fract_z
_atom_site_occupancy
Mg1 Mg 0.000 0.000 0.000 1
Fe1 Fe 0.001 0.534 0.398 1
Fe2 Fe 0.003 0.525 0.597 1
Fe3 Fe 0.050 0.515 0.199 1
Fe4 Fe 0.080 0.490 0.007 1
Fe5 Fe 0.467 0.990 0.111 1
Fe6 Fe 0.500 0.045 0.312 1
Fe7 Fe 0.501 0.023 0.694 1
Fe8 Fe 0.502 0.025 0.885 1
Fe9 Fe 0.503 0.026 0.502 1
Fe10 Fe 0.999 0.521 0.794 1
O1 O 0.189 0.746 0.097 1
O2 O 0.299 0.244 0.788 1
O3 O 0.302 0.227 0.597 1
O4 O 0.303 0.236 0.405 1
O5 O 0.341 0.204 0.207 1
O6 O 0.353 0.170 0.000 1
O7 O 0.697 0.806 0.791 1
O8 O 0.702 0.825 0.597 1
O9 O 0.705 0.832 0.401 1
F1 F 0.157 0.740 0.900 1
F2 F 0.186 0.721 0.694 1
F3 F 0.193 0.717 0.498 1
F4 F 0.208 0.731 0.307 1
F5 F 0.701 0.789 0.203 1
F6 F 0.711 0.758 0.004 1
F7 F 0.811 0.331 0.694 1
F8 F 0.813 0.344 0.498 1
F9 F 0.817 0.327 0.306 1
F10 F 0.830 0.245 0.092 1
F11 F 0.857 0.285 0.907 1
```

Principal peaks in the range 2θ from 10° to 90°, low angle first:
24.5°, intensity 1000, (1 1 0); 27.2°, intensity 821, (1 -1 0); 34.0°, intensity 260, (0 1 5); 34.2°, intensity 493, (0 1 -5); 34.4°, intensity 239, (1 0 -5); 50.1°, intensity 360, (2 2 0)

No. 5
This entry pairs a crystal structure of MgFe8O14F2 with its theoretical powder diffraction line list. Radiation: a wavelength of 1.5418 Å. Structure: DFT lattice parameters and positions (PBE+U).

Structural model:
```
data_MgFe8O14F2
_chemical_formula_sum 'Mg1 Fe8 O14 F2'
_cell_length_a 5.167
_cell_length_b 5.187
_cell_length_c 11.634
_cell_angle_alpha 89.35
_cell_angle_beta 89.52
_cell_angle_gamma 77.67
_symmetry_space_group_name_H-M 'P 1'
_symmetry_Int_Tables_number 1
_symmetry_space_group_name_Hall 'P 1'
loop_
_atom_site_label
_atom_site_type_symbol
_atom_site_fract_x
_atom_site_fract_y
_atom_site_fract_z
_atom_site_occupancy
Mg1 Mg 0.000 0.000 0.000 1
Fe1 Fe 0.105 0.117 0.627 1
Fe2 Fe 0.119 0.118 0.375 1
Fe3 Fe 0.279 0.278 0.140 1
Fe4 Fe 0.280 0.296 0.873 1
Fe5 Fe 0.666 0.668 0.003 1
Fe6 Fe 0.699 0.699 0.256 1
Fe7 Fe 0.703 0.708 0.504 1
Fe8 Fe 0.729 0.676 0.752 1
O1 O 0.013 0.378 0.005 1
O2 O 0.019 0.363 0.754 1
O3 O 0.351 0.973 0.502 1
O4 O 0.376 0.998 0.256 1
O5 O 0.379 0.017 0.000 1
O6 O 0.511 0.515 0.127 1
O7 O 0.520 0.521 0.877 1
O8 O 0.564 0.550 0.638 1
O9 O 0.830 0.834 0.116 1
O10 O 0.846 0.826 0.883 1
O11 O 0.867 0.870 0.378 1
O12 O 0.880 0.866 0.635 1
O13 O 0.973 0.353 0.499 1
O14 O 0.999 0.377 0.257 1
F1 F 0.402 0.005 0.753 1
F2 F 0.529 0.532 0.379 1
```

Principal peaks in the range 2θ from 10° to 90°, low angle first:
22.0°, intensity 1000, (1 1 0); 27.5°, intensity 988, (1 -1 0); 35.5°, intensity 356, (1 0 4); 35.7°, intensity 325, (1 0 -4); 54.1°, intensity 209, (-2 1 4); 64.0°, intensity 192, (0 0 8)

No. 6
This entry pairs a crystal structure of MgFe4O4F4 with its theoretical powder diffraction line list. Radiation: a wavelength of 1.5418 Å. Structure: DFT lattice parameters and positions (PBE+U).

Structural model:
```
data_MgFe4O4F4
_chemical_formula_sum 'Mg1 Fe4 O4 F4'
_cell_length_a 5.444
_cell_length_b 5.505
_cell_length_c 5.738
_cell_angle_alpha 86.03
_cell_angle_beta 79.94
_cell_angle_gamma 88.60
_symmetry_space_group_name_H-M 'P 1'
_symmetry_Int_Tables_number 1
_symmetry_space_group_name_Hall 'P 1'
loop_
_atom_site_label
_atom_site_type_symbol
_atom_site_fract_x
_atom_site_fract_y
_atom_site_fract_z
_atom_site_occupancy
Mg1 Mg 0.000 0.000 0.000 1
Fe1 Fe 0.131 0.549 0.769 1
Fe2 Fe 0.458 0.077 0.097 1
Fe3 Fe 0.600 0.883 0.574 1
Fe4 Fe 0.943 0.402 0.326 1
O1 O 0.179 0.303 0.046 1
O2 O 0.325 0.851 0.837 1
O3 O 0.741 0.120 0.303 1
O4 O 0.840 0.623 0.572 1
F1 F 0.202 0.290 0.516 1
F2 F 0.377 0.790 0.355 1
F3 F 0.756 0.095 0.797 1
F4 F 0.860 0.672 0.083 1
```

Principal peaks in the range 2θ from 10° to 90°, low angle first:
23.0°, intensity 712, (1 1 0); 23.3°, intensity 1000, (1 -1 0); 29.3°, intensity 213, (-1 1 1); 30.2°, intensity 191, (1 1 -1); 34.5°, intensity 216, (2 0 1); 42.8°, intensity 269, (1 1 -2)

No. 7
This entry pairs a crystal structure of MgFe6O6F6 with its theoretical powder diffraction line list. Radiation: a wavelength of 1.5418 Å. Structure: DFT lattice parameters and positions (PBE+U).

Structural model:
```
data_MgFe6O6F6
_chemical_formula_sum 'Mg1 Fe6 O6 F6'
_cell_length_a 5.026
_cell_length_b 3.078
_cell_length_c 14.348
_cell_angle_alpha 90.00
_cell_angle_beta 91.27
_cell_angle_gamma 90.00
_symmetry_space_group_name_H-M 'P 1 2/m 1'
_symmetry_Int_Tables_number 10
_symmetry_space_group_name_Hall '-P 2y'
loop_
_atom_site_label
_atom_site_type_symbol
_atom_site_fract_x
_atom_site_fract_y
_atom_site_fract_z
_atom_site_occupancy
Mg1 Mg 0.000 0.000 0.000 1
Fe1 Fe 0.000 0.500 0.500 1
Fe2 Fe 0.097 0.500 0.185 1
Fe3 Fe 0.458 0.000 0.660 1
Fe4 Fe 0.500 0.000 0.000 1
O1 O 0.179 0.000 0.565 1
O2 O 0.250 0.500 0.052 1
O3 O 0.269 0.000 0.245 1
F1 F 0.174 0.000 0.879 1
F2 F 0.262 0.500 0.725 1
F3 F 0.343 0.500 0.405 1
```

Principal peaks in the range 2θ from 10° to 90°, low angle first:
25.4°, intensity 1000, (1 0 -3); 26.0°, intensity 734, (1 0 3); 34.2°, intensity 488, (1 1 0); 34.7°, intensity 633, (0 1 3); 50.3°, intensity 366, (2 1 -3); 51.4°, intensity 312, (1 1 -6)

No. 8
This entry pairs a crystal structure of MgFe6O11F with its theoretical powder diffraction line list. Radiation: a wavelength of 1.5418 Å. Structure: DFT lattice parameters and positions (PBE+U).

Structural model:
```
data_MgFe6O11F
_chemical_formula_sum 'Mg1 Fe6 O11 F1'
_cell_length_a 4.792
_cell_length_b 4.853
_cell_length_c 8.859
_cell_angle_alpha 89.94
_cell_angle_beta 89.93
_cell_angle_gamma 88.35
_symmetry_space_group_name_H-M 'P 1'
_symmetry_Int_Tables_number 1
_symmetry_space_group_name_Hall 'P 1'
loop_
_atom_site_label
_atom_site_type_symbol
_atom_site_fract_x
_atom_site_fract_y
_atom_site_fract_z
_atom_site_occupancy
Mg1 Mg 0.000 0.000 0.000 1
Fe1 Fe 0.003 0.531 0.663 1
Fe2 Fe 0.497 0.028 0.500 1
Fe3 Fe 0.497 0.038 0.188 1
Fe4 Fe 0.499 0.041 0.812 1
Fe5 Fe 0.937 0.494 0.000 1
Fe6 Fe 0.999 0.526 0.337 1
O1 O 0.142 0.289 0.154 1
O2 O 0.143 0.290 0.846 1
O3 O 0.190 0.325 0.500 1
O4 O 0.316 0.828 0.336 1
O5 O 0.317 0.829 0.664 1
O6 O 0.645 0.215 0.001 1
O7 O 0.677 0.233 0.340 1
O8 O 0.679 0.234 0.659 1
O9 O 0.809 0.734 0.500 1
O10 O 0.829 0.742 0.157 1
O11 O 0.831 0.743 0.844 1
F1 F 0.338 0.789 0.001 1
```

Principal peaks in the range 2θ from 10° to 90°, low angle first:
25.8°, intensity 998, (1 1 0); 26.5°, intensity 1000, (1 -1 0); 35.6°, intensity 532, (0 1 -3); 35.7°, intensity 520, (1 0 3); 52.0°, intensity 435, (1 2 3); 52.8°, intensity 398, (1 -2 3)